Diffraction record for MgNi2O4. The PXRD pattern is simulated, not measured: it uses a structure optimized by DFT (GGA+U) and Cu Kα X-rays.

Top 10 peaks for 5 to 70 degrees two-theta, low angle first:
d/Å, intensity
4.780, 19
2.967, 26
2.906, 37
2.527, 100
2.443, 46
2.103, 13
1.615, 19
1.552, 11
1.491, 11
1.453, 40

Cell: 5.819 5.819 5.819 Å, 118.69 118.35 92.59°
Sites, in units of the cell vectors:
Mg 0.500 0.000 0.000
Mg 0.500 0.500 0.500
Ni 0.000 0.000 0.000
Ni 0.116 0.366 0.750
Ni 0.500 0.000 0.500
Ni 0.884 0.634 0.250
O 0.246 0.233 0.487
O 0.246 0.235 0.012
O 0.246 0.759 0.013
O 0.277 0.765 0.512
O 0.723 0.235 0.488
O 0.754 0.241 0.987
O 0.754 0.765 0.988
O 0.754 0.767 0.513

Diffraction record for MgNi2P2O10. The PXRD pattern is simulated, not measured: it uses a structure optimized by DFT (GGA+U) and Cu Kα X-rays.

Top 10 peaks for 5 to 70 degrees two-theta, low angle first:
d/Å, intensity
5.544, 42
3.203, 65
2.943, 23
2.882, 100
2.809, 65
2.772, 63
2.097, 22
2.011, 30
1.687, 27
1.601, 49

Cell: 9.954 8.961 6.547 Å, 78.16 61.77 40.07°
Sites, in units of the cell vectors:
Mg 0.125 0.125 0.125
Mg 0.875 0.875 0.875
Ni 0.000 0.500 0.500
Ni 0.500 0.000 0.500
Ni 0.500 0.500 0.000
Ni 0.500 0.500 0.500
P 0.081 0.081 0.669
P 0.331 0.331 0.919
P 0.669 0.669 0.081
P 0.919 0.919 0.331
O 0.055 0.215 0.471
O 0.111 0.432 0.166
O 0.166 0.790 0.111
O 0.210 0.834 0.568
O 0.215 0.055 0.760
O 0.240 0.529 0.785
O 0.297 0.297 0.453
O 0.432 0.111 0.790
O 0.453 0.453 0.297
O 0.471 0.760 0.055
O 0.529 0.240 0.945
O 0.547 0.547 0.703
O 0.568 0.889 0.210
O 0.703 0.703 0.547
O 0.760 0.471 0.215
O 0.785 0.945 0.240
O 0.790 0.166 0.432
O 0.834 0.210 0.889
O 0.889 0.568 0.834
O 0.945 0.785 0.529

Diffraction record for MgNi3P4O14. The PXRD pattern is simulated, not measured: it uses a structure optimized by DFT (GGA+U) and Cu Kα X-rays.

Top 10 peaks for 5 to 70 degrees two-theta, low angle first:
d/Å, intensity
6.719, 40
5.001, 34
3.163, 28
3.061, 71
2.913, 57
2.895, 100
2.621, 48
2.415, 24
2.402, 42
2.004, 21

Cell: 7.265 7.498 9.486 Å, 90.00 112.36 90.00°
Sites, in units of the cell vectors:
Mg 0.000 0.000 0.000
Mg 0.000 0.500 0.500
Ni 0.314 0.128 0.477
Ni 0.314 0.372 0.977
Ni 0.500 0.000 0.000
Ni 0.500 0.500 0.500
Ni 0.686 0.628 0.023
Ni 0.686 0.872 0.523
P 0.089 0.077 0.704
P 0.089 0.423 0.204
P 0.369 0.707 0.187
P 0.369 0.793 0.687
P 0.631 0.207 0.313
P 0.631 0.293 0.813
P 0.911 0.577 0.796
P 0.911 0.923 0.296
O 0.115 0.213 0.593
O 0.115 0.287 0.093
O 0.120 0.531 0.807
O 0.120 0.969 0.307
O 0.165 0.613 0.170
O 0.165 0.887 0.670
O 0.220 0.121 0.874
O 0.220 0.379 0.374
O 0.306 0.617 0.599
O 0.306 0.883 0.099
O 0.468 0.582 0.109
O 0.468 0.918 0.609
O 0.484 0.715 0.360
O 0.484 0.785 0.860
O 0.516 0.215 0.140
O 0.516 0.285 0.640
O 0.532 0.082 0.391
O 0.532 0.418 0.891
O 0.694 0.117 0.901
O 0.694 0.383 0.401
O 0.780 0.621 0.626
O 0.780 0.879 0.126
O 0.835 0.113 0.330
O 0.835 0.387 0.830
O 0.880 0.031 0.693
O 0.880 0.469 0.193
O 0.885 0.713 0.907
O 0.885 0.787 0.407

Diffraction record for MgNi2P2O8. The PXRD pattern is simulated, not measured: it uses a structure optimized by DFT (GGA+U) and Cu Kα X-rays.

Top 10 peaks for 5 to 70 degrees two-theta, low angle first:
d/Å, intensity
4.551, 67
4.082, 76
3.674, 83
3.373, 53
2.740, 100
2.685, 76
2.606, 82
2.437, 60
2.095, 81
1.892, 58

Cell: 4.922 4.922 6.511 Å, 92.68 92.68 67.66°
Sites, in units of the cell vectors:
Mg 0.000 0.000 0.000
Ni 0.500 0.500 0.000
Ni 0.500 0.500 0.500
P 0.167 0.167 0.716
P 0.833 0.833 0.284
O 0.181 0.730 0.254
O 0.259 0.259 0.525
O 0.266 0.266 0.927
O 0.270 0.819 0.746
O 0.730 0.181 0.254
O 0.734 0.734 0.073
O 0.741 0.741 0.475
O 0.819 0.270 0.746

Diffraction record for MgNiPO5. The PXRD pattern is simulated, not measured: it uses a structure optimized by DFT (GGA+U) and Cu Kα X-rays.

Top 10 peaks for 5 to 70 degrees two-theta, low angle first:
d/Å, intensity
4.852, 43
3.119, 100
2.995, 71
2.505, 53
2.492, 55
2.036, 25
1.674, 24
1.659, 19
1.617, 26
1.436, 18

Cell: 5.267 5.267 6.798 Å, 104.15 104.15 103.51°
Sites, in units of the cell vectors:
Mg 0.171 0.829 0.500
Mg 0.829 0.171 0.000
Ni 0.506 0.509 0.261
Ni 0.509 0.506 0.761
P 0.173 0.842 0.012
P 0.842 0.173 0.512
O 0.132 0.227 0.673
O 0.166 0.628 0.133
O 0.227 0.132 0.173
O 0.396 0.849 0.897
O 0.415 0.598 0.515
O 0.598 0.415 0.015
O 0.628 0.166 0.633
O 0.792 0.891 0.352
O 0.849 0.396 0.397
O 0.891 0.792 0.852

Diffraction record for MgNi2P2O8. The PXRD pattern is simulated, not measured: it uses a structure optimized by DFT (GGA+U) and Cu Kα X-rays.

Top 10 peaks for 5 to 70 degrees two-theta, low angle first:
d/Å, intensity
4.511, 37
4.095, 22
3.668, 24
3.434, 18
2.702, 40
2.584, 100
2.437, 50
2.050, 28
1.834, 28
1.449, 30

Cell: 6.304 4.906 4.906 Å, 66.83 90.00 90.00°
Sites, in units of the cell vectors:
Mg 0.000 0.000 0.000
Ni 0.266 0.671 0.671
Ni 0.734 0.671 0.671
P 0.000 0.333 0.333
P 0.500 0.032 0.032
O 0.000 0.438 0.978
O 0.000 0.978 0.438
O 0.200 0.433 0.433
O 0.297 0.923 0.923
O 0.500 0.376 0.904
O 0.500 0.904 0.376
O 0.703 0.923 0.923
O 0.800 0.433 0.433

Diffraction record for MgNiP4O12. The PXRD pattern is simulated, not measured: it uses a structure optimized by DFT (GGA+U) and Cu Kα X-rays.

Top 10 peaks for 5 to 70 degrees two-theta, low angle first:
d/Å, intensity
6.205, 49
4.625, 39
4.295, 20
3.560, 31
3.209, 20
3.036, 100
2.891, 24
2.606, 23
2.405, 21
2.121, 20

Cell: 7.256 7.256 10.024 Å, 112.87 112.87 70.48°
Sites, in units of the cell vectors:
Mg 0.047 0.953 0.750
Mg 0.953 0.047 0.250
Ni 0.000 0.500 0.500
Ni 0.500 0.000 0.000
P 0.251 0.731 0.021
P 0.269 0.749 0.479
P 0.294 0.314 0.803
P 0.314 0.294 0.303
P 0.686 0.706 0.697
P 0.706 0.686 0.197
P 0.731 0.251 0.521
P 0.749 0.269 0.979
O 0.088 0.849 0.095
O 0.124 0.280 0.325
O 0.151 0.912 0.405
O 0.186 0.715 0.583
O 0.192 0.345 0.651
O 0.209 0.505 0.931
O 0.280 0.124 0.825
O 0.285 0.814 0.917
O 0.317 0.531 0.349
O 0.345 0.192 0.151
O 0.469 0.683 0.151
O 0.495 0.791 0.569
O 0.505 0.209 0.431
O 0.531 0.317 0.849
O 0.655 0.808 0.849
O 0.683 0.469 0.651
O 0.715 0.186 0.083
O 0.720 0.876 0.175
O 0.791 0.495 0.069
O 0.808 0.655 0.349
O 0.814 0.285 0.417
O 0.849 0.088 0.595
O 0.876 0.720 0.675
O 0.912 0.151 0.905

Diffraction record for MgNi2P2O8. The PXRD pattern is simulated, not measured: it uses a structure optimized by DFT (GGA+U) and Cu Kα X-rays.

Top 10 peaks for 5 to 70 degrees two-theta, low angle first:
d/Å, intensity
7.070, 78
4.679, 53
3.692, 35
3.135, 100
2.800, 41
2.788, 58
2.720, 36
2.666, 32
2.470, 51
2.421, 37

Cell: 8.882 8.882 16.347 Å, 118.82 118.82 32.29°
Sites, in units of the cell vectors:
Mg 0.057 0.644 0.873
Mg 0.356 0.943 0.627
Mg 0.644 0.057 0.373
Mg 0.943 0.356 0.127
Ni 0.000 0.500 0.000
Ni 0.104 0.700 0.531
Ni 0.110 0.890 0.750
Ni 0.300 0.896 0.969
Ni 0.500 0.000 0.500
Ni 0.700 0.104 0.031
Ni 0.890 0.110 0.250
Ni 0.896 0.300 0.469
P 0.011 0.569 0.642
P 0.277 0.678 0.387
P 0.322 0.723 0.113
P 0.431 0.989 0.858
P 0.569 0.011 0.142
P 0.678 0.277 0.887
P 0.723 0.322 0.613
P 0.989 0.431 0.358
O 0.092 0.726 0.413
O 0.093 0.503 0.735
O 0.108 0.654 0.642
O 0.136 0.764 0.290
O 0.140 0.705 0.037
O 0.162 0.293 0.562
O 0.205 0.314 0.897
O 0.236 0.864 0.210
O 0.274 0.908 0.087
O 0.293 0.162 0.062
O 0.295 0.860 0.463
O 0.314 0.205 0.397
O 0.346 0.892 0.858
O 0.359 0.589 0.889
O 0.411 0.641 0.611
O 0.497 0.907 0.765
O 0.503 0.093 0.235
O 0.589 0.359 0.389
O 0.641 0.411 0.111
O 0.654 0.108 0.142
O 0.686 0.795 0.603
O 0.705 0.140 0.537
O 0.707 0.838 0.938
O 0.726 0.092 0.913
O 0.764 0.136 0.790
O 0.795 0.686 0.103
O 0.838 0.707 0.438
O 0.860 0.295 0.963
O 0.864 0.236 0.710
O 0.892 0.346 0.358
O 0.907 0.497 0.265
O 0.908 0.274 0.587

Diffraction record for MgNiSbP2O9. The PXRD pattern is simulated, not measured: it uses a structure optimized by DFT (GGA+U) and Cu Kα X-rays.

Top 10 peaks for 5 to 70 degrees two-theta, low angle first:
d/Å, intensity
5.161, 93
4.852, 89
3.547, 100
3.245, 45
2.918, 60
2.907, 70
2.747, 40
2.707, 45
2.302, 38
1.621, 48

Cell: 14.567 6.491 7.314 Å, 90.00 90.00 90.00°
Sites, in units of the cell vectors:
Mg 0.196 0.250 0.055
Mg 0.304 0.750 0.555
Mg 0.696 0.250 0.445
Mg 0.804 0.750 0.945
Ni 0.000 0.000 0.000
Ni 0.000 0.500 0.000
Ni 0.500 0.000 0.500
Ni 0.500 0.500 0.500
Sb 0.119 0.250 0.634
Sb 0.381 0.750 0.134
Sb 0.619 0.250 0.866
Sb 0.881 0.750 0.366
P 0.081 0.750 0.636
P 0.188 0.750 0.119
P 0.312 0.250 0.619
P 0.419 0.250 0.136
P 0.581 0.750 0.864
P 0.688 0.750 0.381
P 0.812 0.250 0.881
P 0.919 0.250 0.364
O 0.023 0.750 0.462
O 0.025 0.750 0.815
O 0.069 0.250 0.887
O 0.131 0.546 0.119
O 0.131 0.954 0.119
O 0.152 0.568 0.630
O 0.152 0.932 0.630
O 0.242 0.250 0.457
O 0.246 0.250 0.792
O 0.254 0.750 0.292
O 0.258 0.750 0.957
O 0.348 0.068 0.130
O 0.348 0.432 0.130
O 0.369 0.046 0.619
O 0.369 0.454 0.619
O 0.431 0.750 0.387
O 0.475 0.250 0.315
O 0.477 0.250 0.962
O 0.523 0.750 0.038
O 0.525 0.750 0.685
O 0.569 0.250 0.613
O 0.631 0.546 0.381
O 0.631 0.954 0.381
O 0.652 0.568 0.870
O 0.652 0.932 0.870
O 0.742 0.250 0.043
O 0.746 0.250 0.708
O 0.754 0.750 0.208
O 0.758 0.750 0.543
O 0.848 0.068 0.370
O 0.848 0.432 0.370
O 0.869 0.046 0.881
O 0.869 0.454 0.881
O 0.931 0.750 0.113
O 0.975 0.250 0.185
O 0.977 0.250 0.538